Starting from a PBE-relaxed structure, the XRD peak list of K2InCl3O was calculated for λ = 1.5418 Å (Cu Kα).

```
data_K2InCl3O
_cell_length_a 4.0382
_cell_length_b 5.3462
_cell_length_c 16.6161
_cell_angle_alpha 90.00
_cell_angle_beta 90.00
_cell_angle_gamma 90.00
_space_group_name_H-M_alt 'I m m m'
_space_group_IT_number 71
_space_group_name_Hall '-I 2 2'
loop_
_atom_site_label
_atom_site_type_symbol
_atom_site_fract_x
_atom_site_fract_y
_atom_site_fract_z
K1 K 0.0000 0.0000 0.1461
In1 In 0.0000 0.0000 0.5000
Cl1 Cl 0.0000 0.0000 0.3363
Cl2 Cl 0.0000 0.5000 0.5000
O1 O 0.0000 0.5000 0.0000
```

Most intense lines, 10 to 90 degrees two-theta, low angle first:
2theta	d (Å)	I_rel	h k l
10.6	8.308	100	0 0 2
17.4	5.089	36	0 1 1
22.7	3.924	43	1 0 1
23.1	3.847	26	0 1 3
27.3	3.263	33	1 0 3
27.7	3.222	80	1 1 0
32.3	2.769	50	0 0 6
33.5	2.673	52	0 2 0
35.0	2.566	28	1 0 5
43.1	2.100	36	1 1 6
47.3	1.923	31	0 2 6
56.4	1.631	27	2 0 6

---

Starting from a PBE-relaxed structure, the XRD peak list of Y3Tm3In2 was calculated for λ = 1.5418 Å (Cu Kα).

```
data_Y3Tm3In2
_cell_length_a 4.8224
_cell_length_b 4.8363
_cell_length_c 9.6158
_cell_angle_alpha 90.00
_cell_angle_beta 90.00
_cell_angle_gamma 90.00
_space_group_name_H-M_alt 'P m m m'
_space_group_IT_number 47
_space_group_name_Hall '-P 2 2'
loop_
_atom_site_label
_atom_site_type_symbol
_atom_site_fract_x
_atom_site_fract_y
_atom_site_fract_z
Y1 Y 0.0000 0.0000 0.0000
Y2 Y 0.0000 0.0000 0.5000
Y3 Y 0.5000 0.5000 0.0000
Tm1 Tm 0.0000 0.5000 0.2521
Tm2 Tm 0.5000 0.5000 0.5000
In1 In 0.5000 0.0000 0.2508
```

Most intense lines, 10 to 90 degrees two-theta, low angle first:
2theta	d (Å)	I_rel	h k l
32.2	2.784	100	1 1 2
37.2	2.418	17	0 2 0
37.3	2.411	17	2 0 0
37.4	2.404	17	0 0 4
53.7	1.706	23	2 2 0
53.9	1.702	11	2 0 4
63.9	1.457	14	1 3 2
64.0	1.454	13	3 1 2
64.2	1.451	13	1 1 6
67.3	1.392	12	2 2 4
88.2	1.108	6	3 3 2
88.4	1.106	6	1 3 6

---

Starting from a PBE-relaxed structure, the XRD peak list of Ba2Ca2Ti3Tl2O10 was calculated for λ = 1.5418 Å (Cu Kα).

```
data_Ba2Ca2Ti3Tl2O10
_cell_length_a 5.4084
_cell_length_b 5.4085
_cell_length_c 22.8512
_cell_angle_alpha 90.00
_cell_angle_beta 96.72
_cell_angle_gamma 90.00
_space_group_name_H-M_alt 'C 1 2 1'
_space_group_IT_number 5
_space_group_name_Hall 'C 2y'
loop_
_atom_site_label
_atom_site_type_symbol
_atom_site_fract_x
_atom_site_fract_y
_atom_site_fract_z
Ba1 Ba 0.1470 0.0000 0.2975
Ca1 Ca 0.0446 0.0003 0.0909
Ti1 Ti 0.0000 0.5004 0.0000
Ti2 Ti 0.0858 0.5004 0.1741
Tl1 Tl 0.2187 0.5010 0.4395
O1 O 0.0663 0.7505 0.6282
O2 O 0.1244 0.5004 0.2523
O3 O 0.1744 0.2503 0.8465
O4 O 0.1760 0.7503 0.8496
O5 O 0.2423 0.2504 0.9844
```

Most intense lines, 10 to 90 degrees two-theta, low angle first:
2theta	d (Å)	I_rel	h k l
25.3	3.524	19	1 1 2
27.1	3.294	92	1 1 3
27.5	3.242	26	0 0 7
29.3	3.047	100	1 1 -5
33.1	2.704	46	0 2 0
33.4	2.685	16	2 0 -2
43.6	2.077	20	2 0 6
46.4	1.957	25	2 0 -9
47.6	1.912	29	2 2 -1
52.2	1.754	20	1 1 -12
55.6	1.654	26	3 1 2
56.8	1.620	31	3 1 -6

---

Starting from a PBE-relaxed structure, the XRD peak list of CaPr4Sm10 was calculated for λ = 1.5418 Å (Cu Kα).

```
data_CaPr4Sm10
_cell_length_a 9.9805
_cell_length_b 9.9805
_cell_length_c 10.8356
_cell_angle_alpha 90.00
_cell_angle_beta 90.00
_cell_angle_gamma 90.00
_space_group_name_H-M_alt 'I 4/m'
_space_group_IT_number 87
_space_group_name_Hall '-I 4'
loop_
_atom_site_label
_atom_site_type_symbol
_atom_site_fract_x
_atom_site_fract_y
_atom_site_fract_z
Ca1 Ca 0.0000 0.0000 0.0000
Pr1 Pr 0.0663 0.6637 0.0000
Sm1 Sm 0.0000 0.5000 0.2500
Sm2 Sm 0.1142 0.7892 0.3413
```

Most intense lines, 10 to 90 degrees two-theta, low angle first:
2theta	d (Å)	I_rel	h k l
12.5	7.057	26	1 1 0
26.2	3.396	57	1 0 3
28.1	3.180	57	3 0 1
28.3	3.156	100	1 3 0
31.9	2.808	92	1 2 3
32.8	2.727	59	1 3 2
33.4	2.682	42	2 3 1
35.5	2.529	21	1 1 4
40.4	2.232	21	4 2 0
41.1	2.197	22	3 2 3
43.9	2.064	40	4 2 2
65.2	1.432	21	4 5 3

---

Starting from a PBE-relaxed structure, the XRD peak list of Ti2SnGe2 was calculated for λ = 1.5418 Å (Cu Kα).

```
data_Ti2SnGe2
_cell_length_a 3.6457
_cell_length_b 3.6457
_cell_length_c 13.9701
_cell_angle_alpha 90.00
_cell_angle_beta 90.00
_cell_angle_gamma 90.00
_space_group_name_H-M_alt 'I 4/m m m'
_space_group_IT_number 139
_space_group_name_Hall '-I 4 2'
loop_
_atom_site_label
_atom_site_type_symbol
_atom_site_fract_x
_atom_site_fract_y
_atom_site_fract_z
Ti1 Ti 0.0000 0.0000 0.1057
Sn1 Sn 0.0000 0.0000 0.5000
Ge1 Ge 0.0000 0.5000 0.2500
```

Most intense lines, 10 to 90 degrees two-theta, low angle first:
2theta	d (Å)	I_rel	h k l
25.5	3.493	27	0 0 4
31.2	2.871	48	1 0 3
37.2	2.418	100	1 1 2
40.7	2.218	41	1 0 5
50.0	1.823	32	2 0 0
53.0	1.728	19	1 1 6
57.0	1.616	13	2 0 4
60.1	1.539	15	2 1 3
66.4	1.408	19	2 1 5
75.4	1.261	15	2 0 8
77.8	1.228	17	1 1 10
85.3	1.137	19	3 1 2

---

Starting from a PBE-relaxed structure, the XRD peak list of B7C5 was calculated for λ = 1.5418 Å (Cu Kα).

```
data_B7C5
_cell_length_a 13.6301
_cell_length_b 2.5721
_cell_length_c 4.9828
_cell_angle_alpha 90.00
_cell_angle_beta 104.62
_cell_angle_gamma 90.00
_space_group_name_H-M_alt 'C 1 m 1'
_space_group_IT_number 8
_space_group_name_Hall 'C -2y'
loop_
_atom_site_label
_atom_site_type_symbol
_atom_site_fract_x
_atom_site_fract_y
_atom_site_fract_z
B1 B 0.0000 0.0000 0.0000
B2 B 0.0160 0.5000 0.3728
B3 B 0.0902 0.0000 0.5822
B4 B 0.1779 0.5000 0.1880
B5 B 0.2308 0.0000 0.4542
B6 B 0.3586 0.5000 0.1037
B7 B 0.3758 0.5000 0.7546
C1 C 0.0575 0.5000 0.0876
C2 C 0.1959 0.0000 0.7647
C3 C 0.2381 0.5000 0.9161
C4 C 0.3515 0.0000 0.5590
C5 C 0.3956 0.0000 0.3131
```

Most intense lines, 10 to 90 degrees two-theta, low angle first:
2theta	d (Å)	I_rel	h k l
13.4	6.594	10	2 0 0
19.9	4.466	7	2 0 -1
25.5	3.494	24	2 0 1
28.7	3.112	9	4 0 -1
40.4	2.233	42	4 0 -2
41.1	2.195	100	1 1 1
67.4	1.389	15	3 1 -3
68.4	1.372	19	7 1 1
72.5	1.304	5	10 0 -2
73.7	1.286	10	0 2 0
77.7	1.229	7	3 1 3
87.5	1.114	6	4 2 -2